The following is a computed powder X-ray diffraction pattern of LiCaH2SeF. It was derived from the PBE geometry in Alexandria, using Cu Kα.
No peak broadening, texture or thermal motion is included.

Largest 10 diffraction maxima, by angle, 2θ = 10–90°:
| 2θ (°) | Rel. int. |
| --- | --- |
| 15.8 | 32 |
| 25.7 | 64 |
| 27.3 | 34 |
| 33.1 | 100 |
| 36.9 | 45 |
| 44.3 | 55 |
| 50.5 | 20 |
| 55.7 | 17 |
| 56.4 | 19 |
| 74.4 | 16 |

Structure:
```
LiCaH2SeF
1.0
2.044 1.180 5.601
-2.044 1.180 5.601
0.000 -2.360 5.601
Li Ca H Se F
1 1 2 1 1
direct
0.000 0.000 0.000
0.823 0.823 0.823
0.367 0.367 0.367
0.412 0.412 0.412
0.600 0.600 0.600
0.113 0.113 0.113
```

The following is a computed powder X-ray diffraction pattern of Ho2Pd3Au. It was derived from the PBE geometry in Alexandria, using Cu Kα.
No peak broadening, texture or thermal motion is included.

Largest 10 diffraction maxima, by angle, 2θ = 10–90°:
| 2θ (°) | Rel. int. |
| --- | --- |
| 24.4 | 30 |
| 28.3 | 41 |
| 32.1 | 29 |
| 33.7 | 58 |
| 36.3 | 100 |
| 38.1 | 68 |
| 41.4 | 78 |
| 42.4 | 29 |
| 53.6 | 27 |
| 66.5 | 25 |

Structure:
```
Ho2Pd3Au
1.0
-4.946 4.946 5.384
4.946 -4.946 5.384
4.946 4.946 -5.384
Ho Pd Au
8 12 4
direct
0.227 0.282 0.556
0.227 0.671 0.944
0.282 0.227 0.056
0.329 0.773 0.556
0.671 0.227 0.444
0.718 0.773 0.944
0.773 0.329 0.056
0.773 0.718 0.444
0.000 0.500 0.500
0.134 0.384 0.269
0.134 0.866 0.750
0.384 0.134 0.769
0.384 0.616 0.250
0.500 0.000 0.000
0.500 0.500 0.000
0.500 0.500 0.500
0.616 0.384 0.750
0.616 0.866 0.231
0.866 0.134 0.250
0.866 0.616 0.731
0.009 0.259 0.750
0.259 0.009 0.250
0.741 0.991 0.750
0.991 0.741 0.250
```

The following is a computed powder X-ray diffraction pattern of Ca2ErHfO6. It was derived from the PBE geometry in Alexandria, using Cu Kα.
No peak broadening, texture or thermal motion is included.

Largest 10 diffraction maxima, by angle, 2θ = 10–90°:
| 2θ (°) | Rel. int. |
| --- | --- |
| 21.6 | 60 |
| 21.9 | 27 |
| 30.2 | 24 |
| 31.0 | 100 |
| 31.4 | 21 |
| 44.1 | 24 |
| 49.7 | 16 |
| 50.1 | 15 |
| 54.1 | 20 |
| 55.6 | 35 |

Structure:
```
Ca2ErHfO6
1.0
5.707 0.000 0.000
0.000 5.925 0.000
-5.703 0.000 8.117
Ca Er Hf O
4 2 2 12
direct
0.227 0.054 0.247
0.227 0.446 0.747
0.773 0.554 0.253
0.773 0.946 0.753
0.000 0.000 0.500
0.000 0.500 0.000
0.500 0.000 0.000
0.500 0.500 0.500
0.147 0.195 0.938
0.147 0.305 0.438
0.238 0.714 0.929
0.238 0.786 0.429
0.384 0.054 0.760
0.384 0.446 0.260
0.616 0.554 0.740
0.616 0.946 0.240
0.762 0.214 0.571
0.762 0.286 0.071
0.853 0.695 0.562
0.853 0.805 0.062
```

The following is a computed powder X-ray diffraction pattern of DyCr2Fe10. It was derived from the PBE geometry in Alexandria, using Cu Kα.
No peak broadening, texture or thermal motion is included.

Largest 10 diffraction maxima, by angle, 2θ = 10–90°:
| 2θ (°) | Rel. int. |
| --- | --- |
| 30.5 | 34 |
| 30.7 | 29 |
| 37.4 | 28 |
| 37.7 | 31 |
| 42.9 | 44 |
| 43.4 | 100 |
| 43.6 | 77 |
| 44.4 | 52 |
| 44.5 | 47 |
| 49.7 | 30 |

Structure:
```
DyCr2Fe10
1.0
-2.332 4.168 4.213
2.332 -4.168 4.213
2.332 4.168 -4.213
Dy Cr Fe
1 2 10
direct
0.000 0.000 0.000
0.369 0.369 0.000
0.631 0.631 0.000
0.000 0.000 0.500
0.000 0.500 0.000
0.224 0.500 0.724
0.230 0.730 0.500
0.358 0.000 0.358
0.500 0.000 0.000
0.500 0.500 0.500
0.642 0.000 0.642
0.770 0.270 0.500
0.776 0.500 0.276
```